[1]
Starting from a crystal structure in Alexandria, relaxed with GGA-PBE, the PXRD pattern of VAgPd6 was simulated for copper Kα.
Kinematic intensities with the Lorentz-polarization factor, no thermal factor.

Peak list (10 most intense, 2θ from 10° to 80°, sorted by position)
- 2θ = 22.6°, I 1
- 2θ = 25.3°, I 2
- 2θ = 32.1°, I 1
- 2θ = 34.1°, I 4
- 2θ = 39.6°, I 100
- 2θ = 46.0°, I 33
- 2θ = 46.1°, I 15
- 2θ = 58.6°, I 2
- 2θ = 67.2°, I 29
- 2θ = 68.4°, I 2

Structure:
a = 3.9435 Å, b = 3.9435 Å, c = 7.8700 Å
α = 90.00°, β = 90.00°, γ = 90.00°
Fractional positions:
V: 0.0000 0.0000 0.0000
Ag: 0.0000 0.0000 0.5000
Pd: 0.0000 0.5000 0.2357
Pd: 0.0000 0.5000 0.7643
Pd: 0.5000 0.0000 0.2357
Pd: 0.5000 0.0000 0.7643
Pd: 0.5000 0.5000 0.0000
Pd: 0.5000 0.5000 0.5000

[2]
Starting from a crystal structure in Alexandria, relaxed with GGA-PBE, the PXRD pattern of Ac4SbTeS2 was simulated for copper Kα.
Kinematic intensities with the Lorentz-polarization factor, no thermal factor.

Peak list (10 most intense, 2θ from 10° to 80°, sorted by position)
- 2θ = 23.9°, I 42
- 2θ = 27.6°, I 100
- 2θ = 39.5°, I 78
- 2θ = 46.6°, I 23
- 2θ = 48.8°, I 28
- 2θ = 62.7°, I 10
- 2θ = 64.4°, I 12
- 2θ = 64.6°, I 25
- 2θ = 71.5°, I 9
- 2θ = 71.6°, I 18

Structure:
a = 7.9187 Å, b = 7.9187 Å, c = 7.9187 Å
α = 131.90°, β = 131.90°, γ = 70.39°
Fractional positions:
Ac: 0.0000 0.5000 0.5000
Ac: 0.2482 0.2482 0.0000
Ac: 0.5000 0.0000 0.5000
Ac: 0.7518 0.7518 0.0000
Sb: 0.0000 0.0000 0.0000
Te: 0.5000 0.5000 0.0000
S: 0.2500 0.7500 0.5000
S: 0.7500 0.2500 0.5000

[3]
Starting from a crystal structure in Alexandria, relaxed with GGA-PBE, the PXRD pattern of RbTlCd4 was simulated for copper Kα.
Kinematic intensities with the Lorentz-polarization factor, no thermal factor.

Peak list (10 most intense, 2θ from 10° to 80°, sorted by position)
- 2θ = 13.5°, I 25
- 2θ = 27.9°, I 17
- 2θ = 29.2°, I 31
- 2θ = 29.4°, I 23
- 2θ = 33.5°, I 100
- 2θ = 37.2°, I 17
- 2θ = 39.3°, I 25
- 2θ = 39.5°, I 16
- 2θ = 40.5°, I 25
- 2θ = 57.7°, I 14

Structure:
a = 8.9201 Å, b = 4.5805 Å, c = 9.7543 Å
α = 90.00°, β = 90.00°, γ = 90.00°
Fractional positions:
Rb: 0.2500 0.0000 0.1075
Rb: 0.7500 0.0000 0.8925
Tl: 0.2500 0.0000 0.7384
Tl: 0.7500 0.0000 0.2616
Cd: 0.0000 0.0000 0.5000
Cd: 0.0246 0.5000 0.7224
Cd: 0.2500 0.5000 0.4524
Cd: 0.4754 0.5000 0.7224
Cd: 0.5000 0.0000 0.5000
Cd: 0.5246 0.5000 0.2776
Cd: 0.7500 0.5000 0.5476
Cd: 0.9754 0.5000 0.2776

[4]
Starting from a crystal structure in Alexandria, relaxed with GGA-PBE, the PXRD pattern of Mg3H6SeO3 was simulated for copper Kα.
Kinematic intensities with the Lorentz-polarization factor, no thermal factor.

Peak list (10 most intense, 2θ from 10° to 80°, sorted by position)
- 2θ = 11.9°, I 100
- 2θ = 15.6°, I 77
- 2θ = 20.3°, I 64
- 2θ = 29.2°, I 36
- 2θ = 29.3°, I 35
- 2θ = 29.6°, I 41
- 2θ = 33.4°, I 31
- 2θ = 33.7°, I 34
- 2θ = 40.4°, I 23
- 2θ = 41.3°, I 26

Structure:
a = 3.6983 Å, b = 5.6924 Å, c = 7.6299 Å
α = 86.11°, β = 77.32°, γ = 89.24°
Fractional positions:
Mg: 0.0000 0.0000 0.0000
Mg: 0.1480 0.4886 0.6912
Mg: 0.4372 0.5222 0.1556
H: 0.0912 0.2025 0.8019
H: 0.3880 0.0960 0.2427
H: 0.5430 0.3339 0.4421
H: 0.7909 0.0044 0.5254
H: 0.8464 0.7168 0.3134
H: 0.8831 0.0770 0.4401
Se: 0.5868 0.7283 0.8200
O: 0.3523 0.4509 0.4312
O: 0.4527 0.1598 0.1176
O: 0.9294 0.7006 0.1840

[5]
Starting from a crystal structure in Alexandria, relaxed with GGA-PBE, the PXRD pattern of DyBi2PdO6 was simulated for copper Kα.
Kinematic intensities with the Lorentz-polarization factor, no thermal factor.

Peak list (10 most intense, 2θ from 10° to 80°, sorted by position)
- 2θ = 20.0°, I 18
- 2θ = 21.5°, I 25
- 2θ = 29.2°, I 48
- 2θ = 29.5°, I 100
- 2θ = 29.9°, I 98
- 2θ = 31.3°, I 47
- 2θ = 40.6°, I 23
- 2θ = 43.8°, I 19
- 2θ = 43.9°, I 19
- 2θ = 52.5°, I 21

Structure:
a = 5.7077 Å, b = 5.9824 Å, c = 6.0026 Å
α = 119.00°, β = 117.71°, γ = 90.13°
Fractional positions:
Dy: 0.0000 0.0000 0.0000
Bi: 0.2709 0.8361 0.5564
Bi: 0.7941 0.3531 0.5717
Pd: 0.4878 0.4629 0.9626
O: 0.1327 0.1663 0.4728
O: 0.1927 0.6556 0.0115
O: 0.3505 0.1799 0.0139
O: 0.6257 0.6816 0.8375
O: 0.7173 0.2156 0.8536
O: 0.8647 0.6897 0.4989

[6]
Starting from a crystal structure in Alexandria, relaxed with GGA-PBE, the PXRD pattern of K2AlBiS4 was simulated for copper Kα.
Kinematic intensities with the Lorentz-polarization factor, no thermal factor.

Peak list (10 most intense, 2θ from 10° to 80°, sorted by position)
- 2θ = 15.9°, I 76
- 2θ = 17.1°, I 87
- 2θ = 22.6°, I 62
- 2θ = 28.5°, I 100
- 2θ = 32.1°, I 48
- 2θ = 34.6°, I 89
- 2θ = 36.6°, I 27
- 2θ = 41.7°, I 35
- 2θ = 44.9°, I 29
- 2θ = 53.6°, I 26

Structure:
a = 6.5487 Å, b = 6.5487 Å, c = 6.5487 Å
α = 106.07°, β = 106.07°, γ = 116.51°
Fractional positions:
K: 0.0000 0.5000 0.5000
K: 0.5000 0.0000 0.5000
Al: 0.0000 0.0000 0.0000
Bi: 0.5000 0.5000 0.0000
S: 0.0401 0.3666 0.0000
S: 0.3666 0.0401 0.0000
S: 0.6334 0.6334 0.6735
S: 0.9599 0.9599 0.3265

[7]
Starting from a crystal structure in Alexandria, relaxed with GGA-PBE, the PXRD pattern of Nd3Er12Sc was simulated for copper Kα.
Kinematic intensities with the Lorentz-polarization factor, no thermal factor.

Peak list (10 most intense, 2θ from 10° to 80°, sorted by position)
- 2θ = 17.8°, I 1
- 2θ = 25.3°, I 1
- 2θ = 28.7°, I 1
- 2θ = 31.1°, I 100
- 2θ = 36.0°, I 50
- 2θ = 51.9°, I 35
- 2θ = 61.7°, I 42
- 2θ = 64.8°, I 12
- 2θ = 76.4°, I 4
- 2θ = 76.5°, I 2

Structure:
a = 4.9883 Å, b = 4.9883 Å, c = 19.9278 Å
α = 90.00°, β = 90.00°, γ = 90.00°
Fractional positions:
Nd: 0.0000 0.0000 0.0000
Nd: 0.0000 0.0000 0.2523
Nd: 0.0000 0.0000 0.7477
Er: 0.0000 0.5000 0.1268
Er: 0.0000 0.5000 0.3804
Er: 0.0000 0.5000 0.6196
Er: 0.0000 0.5000 0.8732
Er: 0.5000 0.0000 0.1268
Er: 0.5000 0.0000 0.3804
Er: 0.5000 0.0000 0.6196
Er: 0.5000 0.0000 0.8732
Er: 0.5000 0.5000 0.0000
Er: 0.5000 0.5000 0.2538
Er: 0.5000 0.5000 0.5000
Er: 0.5000 0.5000 0.7462
Sc: 0.0000 0.0000 0.5000

[8]
Starting from a crystal structure in Alexandria, relaxed with GGA-PBE, the PXRD pattern of Mg14FeSn was simulated for copper Kα.
Kinematic intensities with the Lorentz-polarization factor, no thermal factor.

Peak list (10 most intense, 2θ from 10° to 80°, sorted by position)
- 2θ = 16.2°, I 31
- 2θ = 24.0°, I 22
- 2θ = 32.8°, I 28
- 2θ = 35.7°, I 25
- 2θ = 37.5°, I 100
- 2θ = 49.2°, I 17
- 2θ = 58.6°, I 17
- 2θ = 65.3°, I 18
- 2θ = 70.5°, I 19
- 2θ = 71.7°, I 14

Structure:
a = 6.3020 Å, b = 6.3020 Å, c = 10.0694 Å
α = 90.00°, β = 90.00°, γ = 120.00°
Fractional positions:
Mg: 0.0000 0.0000 0.2470
Mg: 0.0000 0.0000 0.7530
Mg: 0.0088 0.5044 0.2605
Mg: 0.0088 0.5044 0.7395
Mg: 0.3292 0.1646 0.5000
Mg: 0.3349 0.1675 0.0000
Mg: 0.4956 0.5044 0.2605
Mg: 0.4956 0.5044 0.7395
Mg: 0.4956 0.9912 0.2605
Mg: 0.4956 0.9912 0.7395
Mg: 0.8325 0.1675 0.0000
Mg: 0.8325 0.6651 0.0000
Mg: 0.8354 0.1646 0.5000
Mg: 0.8354 0.6708 0.5000
Fe: 0.3333 0.6667 0.5000
Sn: 0.3333 0.6667 0.0000

[9]
Starting from a crystal structure in Alexandria, relaxed with GGA-PBE, the PXRD pattern of AlHg2As was simulated for copper Kα.
Kinematic intensities with the Lorentz-polarization factor, no thermal factor.

Peak list (10 most intense, 2θ from 10° to 80°, sorted by position)
- 2θ = 11.1°, I 63
- 2θ = 27.5°, I 98
- 2θ = 33.8°, I 100
- 2θ = 35.7°, I 68
- 2θ = 42.6°, I 47
- 2θ = 50.0°, I 26
- 2θ = 51.4°, I 24
- 2θ = 59.3°, I 38
- 2θ = 62.9°, I 41
- 2θ = 68.8°, I 21

Structure:
a = 3.5575 Å, b = 3.5575 Å, c = 7.9432 Å
α = 90.00°, β = 90.00°, γ = 90.00°
Fractional positions:
Al: 0.0000 0.0000 0.0000
Hg: 0.0000 0.0000 0.3337
Hg: 0.5000 0.5000 0.5790
As: 0.5000 0.5000 0.9263

[10]
Starting from a crystal structure in Alexandria, relaxed with GGA-PBE, the PXRD pattern of Cu2SiHg was simulated for copper Kα.
Kinematic intensities with the Lorentz-polarization factor, no thermal factor.

Peak list (10 most intense, 2θ from 10° to 80°, sorted by position)
- 2θ = 19.4°, I 58
- 2θ = 33.2°, I 50
- 2θ = 33.9°, I 27
- 2θ = 35.3°, I 36
- 2θ = 41.9°, I 23
- 2θ = 42.1°, I 100
- 2θ = 48.2°, I 20
- 2θ = 54.4°, I 21
- 2θ = 65.5°, I 26
- 2θ = 76.6°, I 12

Structure:
a = 5.2768 Å, b = 5.2768 Å, c = 5.2768 Å
α = 149.47°, β = 118.49°, γ = 70.22°
Fractional positions:
Cu: 0.2239 0.2239 0.0000
Cu: 0.7761 0.7761 0.0000
Si: 0.0000 0.5000 0.5000
Hg: 0.5000 0.0000 0.5000

[11]
Starting from a crystal structure in Alexandria, relaxed with GGA-PBE, the PXRD pattern of MgHg12Pb6 was simulated for copper Kα.
Kinematic intensities with the Lorentz-polarization factor, no thermal factor.

Peak list (10 most intense, 2θ from 10° to 80°, sorted by position)
- 2θ = 27.7°, I 13
- 2θ = 30.9°, I 43
- 2θ = 32.8°, I 100
- 2θ = 33.0°, I 10
- 2θ = 37.5°, I 63
- 2θ = 52.9°, I 22
- 2θ = 55.4°, I 10
- 2θ = 62.5°, I 12
- 2θ = 64.4°, I 7
- 2θ = 64.8°, I 13

Structure:
a = 8.8351 Å, b = 8.8351 Å, c = 8.8351 Å
α = 109.82°, β = 109.82°, γ = 109.82°
Fractional positions:
Mg: 0.0000 0.0000 0.0000
Hg: 0.0444 0.6022 0.3895
Hg: 0.1437 0.1442 0.7693
Hg: 0.1442 0.7693 0.1437
Hg: 0.2307 0.8563 0.8558
Hg: 0.3895 0.0444 0.6022
Hg: 0.3978 0.6105 0.9556
Hg: 0.6022 0.3895 0.0444
Hg: 0.6105 0.9556 0.3978
Hg: 0.7693 0.1437 0.1442
Hg: 0.8558 0.2307 0.8563
Hg: 0.8563 0.8558 0.2307
Hg: 0.9556 0.3978 0.6105
Pb: 0.2190 0.2812 0.4847
Pb: 0.2812 0.4847 0.2190
Pb: 0.4847 0.2190 0.2812
Pb: 0.5153 0.7810 0.7188
Pb: 0.7188 0.5153 0.7810
Pb: 0.7810 0.7188 0.5153

[12]
Starting from a crystal structure in Alexandria, relaxed with GGA-PBE, the PXRD pattern of Dy4Y was simulated for copper Kα.
Kinematic intensities with the Lorentz-polarization factor, no thermal factor.

Peak list (10 most intense, 2θ from 10° to 80°, sorted by position)
- 2θ = 30.9°, I 100
- 2θ = 35.8°, I 51
- 2θ = 51.5°, I 24
- 2θ = 51.6°, I 12
- 2θ = 61.3°, I 25
- 2θ = 61.4°, I 14
- 2θ = 61.5°, I 4
- 2θ = 64.3°, I 9
- 2θ = 64.5°, I 3
- 2θ = 75.8°, I 4

Structure:
a = 3.5491 Å, b = 3.5491 Å, c = 14.5887 Å
α = 96.89°, β = 96.89°, γ = 60.03°
Fractional positions:
Dy: 0.0999 0.0999 0.2991
Dy: 0.2997 0.2997 0.9003
Dy: 0.7003 0.7003 0.0997
Dy: 0.9001 0.9001 0.7009
Y: 0.5000 0.5000 0.5000